[1]
The following is a computed powder diffractogram of LiMnCr2. It was derived from a DFT-relaxed cell (PBE, Alexandria), using Cu Ka.
Peak positions follow from Bragg's law for the DFT cell and can differ from measured ones.

The 10 most intense peaks (2θ from 15° to 90°), low angle first:
| 2θ/deg | I/Imax |
| --- | --- |
| 18.1 | 35 |
| 21.7 | 30 |
| 28.4 | 33 |
| 43.0 | 100 |
| 44.3 | 46 |
| 45.7 | 83 |
| 55.1 | 45 |
| 73.3 | 35 |
| 80.7 | 13 |
| 82.6 | 12 |

Structure:
```
data_LiMnCr2
_chemical_formula_sum 'Li1 Mn1 Cr2'
_space_group_name_H-M_alt 'P 1'
_space_group_IT_number 1
_space_group_name_Hall 'P 1'
_cell_length_a 2.2714
_cell_length_b 4.0879
_cell_length_c 4.9041
_cell_angle_alpha 90.00
_cell_angle_beta 90.00
_cell_angle_gamma 90.00
loop_
_atom_site_label
_atom_site_fract_x
_atom_site_fract_y
_atom_site_fract_z
Li1 0.0000 0.0000 0.0000
Mn1 0.5000 0.5000 0.2433
Cr1 0.0000 0.0000 0.4952
Cr2 0.5000 0.5000 0.7567
```

***

[2]
The following is a computed powder diffractogram of LiMnCr. It was derived from a DFT-relaxed cell (PBE, Alexandria), using Cu Ka.
Peak positions follow from Bragg's law for the DFT cell and can differ from measured ones.

The 10 most intense peaks (2θ from 15° to 90°), low angle first:
| 2θ/deg | I/Imax |
| --- | --- |
| 40.4 | 21 |
| 41.4 | 30 |
| 45.1 | 100 |
| 45.5 | 25 |
| 47.7 | 12 |
| 53.5 | 25 |
| 56.2 | 7 |
| 63.2 | 15 |
| 78.0 | 13 |
| 83.9 | 14 |

Structure:
```
data_LiMnCr
_chemical_formula_sum 'Li1 Mn1 Cr1'
_space_group_name_H-M_alt 'P 1'
_space_group_IT_number 1
_space_group_name_Hall 'P 1'
_cell_length_a 6.8451
_cell_length_b 6.6923
_cell_length_c 2.4216
_cell_angle_alpha 83.28
_cell_angle_beta 76.15
_cell_angle_gamma 20.57
loop_
_atom_site_label
_atom_site_fract_x
_atom_site_fract_y
_atom_site_fract_z
Li1 0.0000 0.0000 0.0000
Mn1 0.6718 0.6718 0.3282
Cr1 0.3195 0.3195 0.6805
```